[1]
# Ca8Ti3Mn5O24
Simulated powder XRD pattern, Cu Ka. Input: a GGA+U-relaxed structure.
Lines closer than 0.1° are merged.

Atomic structure:
abc: 7.683 7.683 7.650
angles: 90.00 90.00 90.00
Atoms (fractional coordinates):
Ca  0.248  0.248  0.242
Ca  0.248  0.248  0.758
Ca  0.248  0.752  0.242
Ca  0.248  0.752  0.758
Ca  0.752  0.248  0.242
Ca  0.752  0.248  0.758
Ca  0.752  0.752  0.242
Ca  0.752  0.752  0.758
Ti  0.000  0.500  0.500
Ti  0.500  0.000  0.500
Ti  0.500  0.500  0.500
Mn  0.000  0.000  0.000
Mn  0.000  0.000  0.500
Mn  0.000  0.500  0.000
Mn  0.500  0.000  0.000
Mn  0.500  0.500  0.000
O  0.000  0.000  0.250
O  0.000  0.000  0.750
O  0.000  0.247  0.500
O  0.000  0.250  0.000
O  0.000  0.500  0.246
O  0.000  0.500  0.754
O  0.000  0.750  0.000
O  0.000  0.753  0.500
O  0.247  0.000  0.500
O  0.250  0.000  0.000
O  0.250  0.500  0.000
O  0.250  0.500  0.500
O  0.500  0.000  0.246
O  0.500  0.000  0.754
O  0.500  0.250  0.000
O  0.500  0.250  0.500
O  0.500  0.500  0.246
O  0.500  0.500  0.754
O  0.500  0.750  0.000
O  0.500  0.750  0.500
O  0.750  0.000  0.000
O  0.750  0.500  0.000
O  0.750  0.500  0.500
O  0.753  0.000  0.500

Largest 6 diffraction maxima, in order of falling intensity, 2θ = 10–90°:
2.713 Å, I = 100.0; 1.921 Å, I = 36.6; 1.567 Å, I = 23.1; 1.355 Å, I = 18.8; 1.913 Å, I = 17.8; 1.564 Å, I = 11.3

=====

[2]
# Ca5Yb3Ti5Mn3O24
Simulated powder XRD pattern, Cu Ka. Input: a GGA+U-relaxed structure.
Lines closer than 0.1° are merged.

Atomic structure:
abc: 5.373 5.514 15.407
angles: 89.79 89.84 89.84
Atoms (fractional coordinates):
Ca  0.000  0.000  0.000
Ca  0.005  0.007  0.499
Ca  0.020  0.915  0.751
Ca  0.505  0.413  0.751
Ca  0.525  0.503  0.001
Yb  0.031  0.900  0.253
Yb  0.504  0.398  0.253
Yb  0.527  0.514  0.499
Ti  0.014  0.453  0.125
Ti  0.014  0.462  0.874
Ti  0.017  0.466  0.624
Ti  0.508  0.962  0.878
Ti  0.511  0.969  0.625
Mn  0.015  0.455  0.376
Mn  0.517  0.953  0.127
Mn  0.520  0.958  0.377
O  0.092  0.433  0.002
O  0.104  0.432  0.498
O  0.215  0.159  0.645
O  0.219  0.162  0.350
O  0.220  0.165  0.853
O  0.224  0.162  0.152
O  0.303  0.661  0.853
O  0.308  0.657  0.643
O  0.310  0.660  0.151
O  0.313  0.659  0.352
O  0.427  0.929  0.995
O  0.432  0.931  0.501
O  0.590  0.976  0.747
O  0.612  0.982  0.257
O  0.714  0.252  0.602
O  0.714  0.257  0.399
O  0.721  0.245  0.896
O  0.721  0.249  0.107
O  0.806  0.744  0.895
O  0.807  0.744  0.602
O  0.811  0.748  0.106
O  0.813  0.749  0.400
O  0.927  0.481  0.253
O  0.935  0.475  0.749

Largest 6 diffraction maxima, in order of falling intensity, 2θ = 10–90°:
2.720 Å, I = 100.0; 1.926 Å, I = 42.0; 2.730 Å, I = 34.5; 2.687 Å, I = 33.0; 2.757 Å, I = 28.8; 3.732 Å, I = 23.5

=====

[3]
# CaTmMn2O6
Simulated powder XRD pattern, Cu Ka. Input: a GGA+U-relaxed structure.
Lines closer than 0.1° are merged.

Atomic structure:
abc: 7.560 5.310 5.545
angles: 90.00 90.00 90.00
Atoms (fractional coordinates):
Ca  0.000  0.240  0.000
Ca  0.000  0.760  0.500
Tm  0.500  0.267  0.124
Tm  0.500  0.733  0.624
Mn  0.249  0.245  0.556
Mn  0.249  0.755  0.056
Mn  0.751  0.245  0.556
Mn  0.751  0.755  0.056
O  0.000  0.334  0.584
O  0.000  0.666  0.084
O  0.215  0.060  0.247
O  0.215  0.940  0.747
O  0.311  0.454  0.851
O  0.311  0.546  0.351
O  0.500  0.144  0.520
O  0.500  0.856  0.020
O  0.689  0.454  0.851
O  0.689  0.546  0.351
O  0.785  0.060  0.247
O  0.785  0.940  0.747

Largest 6 diffraction maxima, in order of falling intensity, 2θ = 10–90°:
2.692 Å, I = 100.0; 7.560 Å, I = 61.7; 3.420 Å, I = 48.8; 1.540 Å, I = 34.3; 2.655 Å, I = 24.5; 1.918 Å, I = 23.6

=====

[4]
# Ca3Mn2W2O12
Simulated powder XRD pattern, Cu Ka. Input: a GGA+U-relaxed structure.
Lines closer than 0.1° are merged.

Atomic structure:
abc: 5.515 5.642 7.610
angles: 89.43 89.80 85.79
Atoms (fractional coordinates):
Ca  0.000  0.000  0.000
Ca  0.002  0.099  0.496
Ca  0.522  0.495  0.001
Mn  0.009  0.549  0.250
Mn  0.500  0.036  0.751
W  0.007  0.550  0.741
W  0.501  0.037  0.259
O  0.098  0.570  0.001
O  0.171  0.837  0.715
O  0.218  0.863  0.283
O  0.286  0.323  0.290
O  0.286  0.330  0.712
O  0.421  0.071  0.000
O  0.589  0.019  0.501
O  0.715  0.760  0.808
O  0.716  0.759  0.196
O  0.774  0.233  0.209
O  0.813  0.284  0.801
O  0.928  0.531  0.500

Largest 6 diffraction maxima, in order of falling intensity, 2θ = 10–90°:
3.800 Å, I = 100.0; 4.085 Å, I = 62.8; 4.458 Å, I = 60.8; 2.797 Å, I = 42.2; 2.813 Å, I = 40.5; 2.772 Å, I = 37.4

=====

[5]
# CaMnWO6
Simulated powder XRD pattern, Cu Ka. Input: a GGA+U-relaxed structure.
Lines closer than 0.1° are merged.

Atomic structure:
abc: 5.324 5.395 9.258
angles: 90.00 125.06 90.00
Atoms (fractional coordinates):
Ca  0.000  0.207  0.000
Ca  0.000  0.793  0.500
Mn  0.242  0.251  0.749
Mn  0.242  0.749  0.249
W  0.742  0.259  0.249
W  0.742  0.741  0.749
O  0.056  0.034  0.281
O  0.056  0.966  0.781
O  0.410  0.462  0.212
O  0.410  0.538  0.712
O  0.489  0.032  0.716
O  0.489  0.968  0.216
O  0.562  0.261  0.998
O  0.562  0.739  0.498
O  0.927  0.239  0.501
O  0.927  0.761  0.001
O  0.989  0.457  0.788
O  0.989  0.543  0.288

Largest 6 diffraction maxima, in order of falling intensity, 2θ = 10–90°:
3.789 Å, I = 100.0; 2.679 Å, I = 64.2; 1.895 Å, I = 33.7; 4.395 Å, I = 31.4; 4.356 Å, I = 31.0; 1.695 Å, I = 27.0

=====

[6]
# CaMnWO6
Simulated powder XRD pattern, Cu Ka. Input: a GGA+U-relaxed structure.
Lines closer than 0.1° are merged.

Atomic structure:
abc: 4.809 4.809 9.373
angles: 90.00 90.00 90.00
Atoms (fractional coordinates):
Ca  0.000  0.000  0.000
Ca  0.500  0.500  0.500
Mn  0.000  0.000  0.329
Mn  0.500  0.500  0.829
W  0.000  0.000  0.667
W  0.500  0.500  0.167
O  0.171  0.171  0.494
O  0.214  0.214  0.185
O  0.214  0.214  0.803
O  0.286  0.714  0.303
O  0.286  0.714  0.685
O  0.329  0.671  0.994
O  0.671  0.329  0.994
O  0.714  0.286  0.303
O  0.714  0.286  0.685
O  0.786  0.786  0.185
O  0.786  0.786  0.803
O  0.829  0.829  0.494

Largest 6 diffraction maxima, in order of falling intensity, 2θ = 10–90°:
3.401 Å, I = 100.0; 4.279 Å, I = 74.5; 2.620 Å, I = 73.0; 1.772 Å, I = 62.9; 4.687 Å, I = 26.4; 2.752 Å, I = 23.0